Diffraction record for SmThOsBr. The powder diffraction line list is simulated, not measured: it uses a structure optimized by DFT (GGA-PBE) and a wavelength of 1.5418 Å.
Neutral-atom scattering factors, no anomalous dispersion.

Principal peaks in the range 10 to 90 degrees two-theta, by intensity:
2θ (°)  I_rel
31.28  1000
11.20  654
43.72  462
25.96  340
45.90  270
54.74  210
72.54  183
56.60  174
39.45  169
36.50  163

Crystal structure
```
data_SmThOsBr
_chemical_formula_sum 'Sm3 Th3 Os3 Br3'
_space_group_name_H-M_alt 'P 1'
_space_group_IT_number 1
_space_group_name_Hall 'P 1'
_cell_length_a 4.141
_cell_length_b 4.141
_cell_length_c 23.703
_cell_angle_alpha 90.00
_cell_angle_beta 90.00
_cell_angle_gamma 120.00
loop_
_atom_site_label
_atom_site_fract_x
_atom_site_fract_y
_atom_site_fract_z
Sm1 0.000 0.000 0.000
Sm2 0.333 0.667 0.667
Sm3 0.667 0.333 0.333
Th1 0.000 0.000 0.791
Th2 0.333 0.667 0.458
Th3 0.667 0.333 0.125
Os1 0.000 0.000 0.400
Os2 0.333 0.667 0.066
Os3 0.667 0.333 0.733
Br1 0.000 0.000 0.230
Br2 0.333 0.667 0.897
Br3 0.667 0.333 0.564
```


Diffraction record for Cs3H7W. The powder diffraction line list is simulated, not measured: it uses a structure optimized by DFT (GGA-PBE) and a wavelength of 1.5418 Å.
Neutral-atom scattering factors, no anomalous dispersion.

Principal peaks in the range 10 to 90 degrees two-theta, by intensity:
2θ (°)  I_rel
26.38  1000
26.79  953
27.42  907
46.41  424
47.60  395
48.33  367
36.70  216
38.59  184
39.74  164
76.81  142

Crystal structure
```
data_Cs3H7W
_chemical_formula_sum 'Cs3 H7 W1'
_space_group_name_H-M_alt 'P 1'
_space_group_IT_number 1
_space_group_name_Hall 'P 1'
_cell_length_a 6.508
_cell_length_b 6.508
_cell_length_c 6.669
_cell_angle_alpha 118.24
_cell_angle_beta 118.24
_cell_angle_gamma 91.62
loop_
_atom_site_label
_atom_site_fract_x
_atom_site_fract_y
_atom_site_fract_z
Cs1 0.000 0.000 0.000
Cs2 0.236 0.736 0.500
Cs3 0.736 0.236 0.500
H1 0.209 0.428 0.000
H2 0.288 0.288 0.618
H3 0.351 0.723 0.000
H4 0.428 0.209 0.000
H5 0.671 0.671 0.382
H6 0.679 0.679 0.996
H7 0.723 0.351 0.000
W1 0.480 0.480 0.000
```


Diffraction record for LiNd5In5. The powder diffraction line list is simulated, not measured: it uses a structure optimized by DFT (GGA-PBE) and a wavelength of 1.5418 Å.
Neutral-atom scattering factors, no anomalous dispersion.

Principal peaks in the range 10 to 90 degrees two-theta, by intensity:
2θ (°)  I_rel
31.59  1000
33.44  890
34.76  673
29.35  666
30.34  594
30.47  494
33.07  436
46.38  335
10.89  207
41.37  196

Crystal structure
```
data_LiNd5In5
_chemical_formula_sum 'Li1 Nd5 In5'
_space_group_name_H-M_alt 'P 1'
_space_group_IT_number 1
_space_group_name_Hall 'P 1'
_cell_length_a 9.157
_cell_length_b 9.157
_cell_length_c 7.105
_cell_angle_alpha 109.98
_cell_angle_beta 109.98
_cell_angle_gamma 36.04
loop_
_atom_site_label
_atom_site_fract_x
_atom_site_fract_y
_atom_site_fract_z
Li1 0.000 0.000 0.000
Nd1 0.000 0.000 0.500
Nd2 0.302 0.302 0.786
Nd3 0.363 0.363 0.334
Nd4 0.637 0.637 0.666
Nd5 0.698 0.698 0.214
In1 0.154 0.154 0.946
In2 0.155 0.155 0.371
In3 0.500 0.500 0.000
In4 0.845 0.845 0.629
In5 0.846 0.846 0.054
```


Diffraction record for Li2Ag14Te9. The powder diffraction line list is simulated, not measured: it uses a structure optimized by DFT (GGA-PBE) and a wavelength of 1.5418 Å.
Neutral-atom scattering factors, no anomalous dispersion.

Principal peaks in the range 10 to 90 degrees two-theta, by intensity:
2θ (°)  I_rel
38.39  1000
38.66  920
23.37  630
55.63  299
69.79  271
23.15  219
45.55  195
69.25  180
26.98  172
69.97  127

Crystal structure
```
data_Li2Ag14Te9
_chemical_formula_sum 'Li2 Ag14 Te9'
_space_group_name_H-M_alt 'P 1'
_space_group_IT_number 1
_space_group_name_Hall 'P 1'
_cell_length_a 8.067
_cell_length_b 8.067
_cell_length_c 11.526
_cell_angle_alpha 89.99
_cell_angle_beta 89.99
_cell_angle_gamma 60.00
loop_
_atom_site_label
_atom_site_fract_x
_atom_site_fract_y
_atom_site_fract_z
Li1 0.166 0.167 0.249
Li2 0.834 0.833 0.751
Ag1 0.164 0.501 0.411
Ag2 0.165 0.836 0.589
Ag3 0.184 0.517 0.913
Ag4 0.201 0.818 0.087
Ag5 0.481 0.203 0.087
Ag6 0.499 0.165 0.589
Ag7 0.500 0.499 0.755
Ag8 0.500 0.501 0.245
Ag9 0.501 0.835 0.411
Ag10 0.519 0.797 0.913
Ag11 0.799 0.182 0.913
Ag12 0.816 0.483 0.087
Ag13 0.835 0.164 0.411
Ag14 0.836 0.499 0.589
Te1 0.140 0.516 0.167
Te2 0.156 0.858 0.833
Te3 0.167 0.167 0.498
Te4 0.485 0.155 0.833
Te5 0.500 0.500 0.500
Te6 0.515 0.845 0.167
Te7 0.833 0.833 0.502
Te8 0.844 0.142 0.167
Te9 0.860 0.484 0.833
```


Diffraction record for Ba4GeI3. The powder diffraction line list is simulated, not measured: it uses a structure optimized by DFT (GGA-PBE) and a wavelength of 1.5418 Å.
Neutral-atom scattering factors, no anomalous dispersion.

Principal peaks in the range 10 to 90 degrees two-theta, by intensity:
2θ (°)  I_rel
25.07  1000
36.04  252
35.71  243
35.51  242
44.20  124
51.40  74
64.38  68
44.57  67
43.68  60
58.53  54

Crystal structure
```
data_Ba4GeI3
_chemical_formula_sum 'Ba8 Ge2 I6'
_space_group_name_H-M_alt 'P 1'
_space_group_IT_number 1
_space_group_name_Hall 'P 1'
_cell_length_a 8.779
_cell_length_b 10.045
_cell_length_c 8.612
_cell_angle_alpha 90.00
_cell_angle_beta 109.24
_cell_angle_gamma 90.00
loop_
_atom_site_label
_atom_site_fract_x
_atom_site_fract_y
_atom_site_fract_z
Ba1 0.217 0.106 0.002
Ba2 0.217 0.894 0.502
Ba3 0.228 0.352 0.475
Ba4 0.228 0.648 0.975
Ba5 0.772 0.352 0.025
Ba6 0.772 0.648 0.525
Ba7 0.783 0.106 0.498
Ba8 0.783 0.894 0.998
Ge1 0.000 0.129 0.250
Ge2 0.000 0.871 0.750
I1 0.000 0.376 0.750
I2 0.000 0.624 0.250
I3 0.500 0.131 0.750
I4 0.500 0.381 0.250
I5 0.500 0.619 0.750
I6 0.500 0.869 0.250
```


Diffraction record for Tb15Pm4Ho. The powder diffraction line list is simulated, not measured: it uses a structure optimized by DFT (GGA-PBE) and a wavelength of 1.5418 Å.
Neutral-atom scattering factors, no anomalous dispersion.

Principal peaks in the range 10 to 90 degrees two-theta, by intensity:
2θ (°)  I_rel
30.61  1000
35.50  506
60.73  429
51.07  361
83.27  177
63.74  123
85.96  110
85.89  55
75.09  38
75.21  19

Crystal structure
```
data_Tb15Pm4Ho
_chemical_formula_sum 'Tb15 Pm4 Ho1'
_space_group_name_H-M_alt 'P 1'
_space_group_IT_number 1
_space_group_name_Hall 'P 1'
_cell_length_a 5.060
_cell_length_b 5.060
_cell_length_c 25.268
_cell_angle_alpha 90.00
_cell_angle_beta 90.00
_cell_angle_gamma 90.00
loop_
_atom_site_label
_atom_site_fract_x
_atom_site_fract_y
_atom_site_fract_z
Tb1 0.000 0.000 0.000
Tb2 0.000 0.000 0.199
Tb3 0.000 0.000 0.400
Tb4 0.000 0.000 0.600
Tb5 0.000 0.000 0.801
Tb6 0.000 0.500 0.099
Tb7 0.000 0.500 0.299
Tb8 0.000 0.500 0.500
Tb9 0.000 0.500 0.701
Tb10 0.000 0.500 0.901
Tb11 0.500 0.000 0.099
Tb12 0.500 0.000 0.299
Tb13 0.500 0.000 0.500
Tb14 0.500 0.000 0.701
Tb15 0.500 0.000 0.901
Pm1 0.500 0.500 0.199
Pm2 0.500 0.500 0.400
Pm3 0.500 0.500 0.600
Pm4 0.500 0.500 0.801
Ho1 0.500 0.500 0.000
```


Diffraction record for PmPaAs2O. The powder diffraction line list is simulated, not measured: it uses a structure optimized by DFT (GGA-PBE) and a wavelength of 1.5418 Å.
Neutral-atom scattering factors, no anomalous dispersion.

Principal peaks in the range 10 to 90 degrees two-theta, by intensity:
2θ (°)  I_rel
31.46  1000
25.20  732
45.09  422
39.97  384
24.03  282
32.88  253
37.71  244
48.86  220
22.91  220
42.99  217

Crystal structure
```
data_PmPaAs2O
_chemical_formula_sum 'Pm2 Pa2 As4 O2'
_space_group_name_H-M_alt 'P 1'
_space_group_IT_number 1
_space_group_name_Hall 'P 1'
_cell_length_a 4.022
_cell_length_b 4.022
_cell_length_c 14.813
_cell_angle_alpha 90.00
_cell_angle_beta 90.00
_cell_angle_gamma 90.00
loop_
_atom_site_label
_atom_site_fract_x
_atom_site_fract_y
_atom_site_fract_z
Pm1 0.250 0.250 0.079
Pm2 0.750 0.750 0.921
Pa1 0.250 0.250 0.616
Pa2 0.750 0.750 0.384
As1 0.250 0.250 0.414
As2 0.250 0.250 0.797
As3 0.750 0.750 0.203
As4 0.750 0.750 0.586
O1 0.250 0.750 0.000
O2 0.750 0.250 0.000
```


Diffraction record for AgHg5S6. The powder diffraction line list is simulated, not measured: it uses a structure optimized by DFT (GGA-PBE) and a wavelength of 1.5418 Å.
Neutral-atom scattering factors, no anomalous dispersion.

Principal peaks in the range 10 to 90 degrees two-theta, by intensity:
2θ (°)  I_rel
22.99  1000
26.82  848
26.51  687
32.27  623
32.41  573
29.48  500
42.42  483
26.33  389
50.49  269
46.75  266

Crystal structure
```
data_AgHg5S6
_chemical_formula_sum 'Ag1 Hg5 S6'
_space_group_name_H-M_alt 'P 1'
_space_group_IT_number 1
_space_group_name_Hall 'P 1'
_cell_length_a 4.314
_cell_length_b 7.345
_cell_length_c 10.474
_cell_angle_alpha 107.47
_cell_angle_beta 93.04
_cell_angle_gamma 90.93
loop_
_atom_site_label
_atom_site_fract_x
_atom_site_fract_y
_atom_site_fract_z
Ag1 0.000 0.000 0.000
Hg1 0.000 0.500 0.000
Hg2 0.344 0.629 0.686
Hg3 0.390 0.145 0.713
Hg4 0.610 0.855 0.287
Hg5 0.656 0.371 0.314
S1 0.023 0.907 0.745
S2 0.330 0.640 0.377
S3 0.374 0.743 0.007
S4 0.626 0.257 0.993
S5 0.670 0.360 0.623
S6 0.977 0.093 0.255
```


Diffraction record for Ti3NbOs. The powder diffraction line list is simulated, not measured: it uses a structure optimized by DFT (GGA-PBE) and a wavelength of 1.5418 Å.
Neutral-atom scattering factors, no anomalous dispersion.

Principal peaks in the range 10 to 90 degrees two-theta, by intensity:
2θ (°)  I_rel
40.27  1000
28.18  309
39.32  275
39.47  272
22.92  188
56.94  180
71.93  171
72.13  169
73.79  146
87.02  100

Crystal structure
```
data_Ti3NbOs
_chemical_formula_sum 'Ti6 Nb2 Os2'
_space_group_name_H-M_alt 'P 1'
_space_group_IT_number 1
_space_group_name_Hall 'P 1'
_cell_length_a 8.090
_cell_length_b 8.090
_cell_length_c 4.566
_cell_angle_alpha 90.00
_cell_angle_beta 90.00
_cell_angle_gamma 147.10
loop_
_atom_site_label
_atom_site_fract_x
_atom_site_fract_y
_atom_site_fract_z
Ti1 0.056 0.944 0.750
Ti2 0.250 0.750 0.750
Ti3 0.441 0.559 0.750
Ti4 0.559 0.441 0.250
Ti5 0.750 0.250 0.250
Ti6 0.944 0.056 0.250
Nb1 0.142 0.858 0.250
Nb2 0.858 0.142 0.750
Os1 0.349 0.651 0.250
Os2 0.651 0.349 0.750
```


Diffraction record for Er4Zn2Ag. The powder diffraction line list is simulated, not measured: it uses a structure optimized by DFT (GGA-PBE) and a wavelength of 1.5418 Å.
Neutral-atom scattering factors, no anomalous dispersion.

Principal peaks in the range 10 to 90 degrees two-theta, by intensity:
2θ (°)  I_rel
37.05  1000
26.89  890
39.70  458
31.49  323
46.37  205
60.78  184
68.55  178
66.77  175
55.42  171
42.68  137

Crystal structure
```
data_Er4Zn2Ag
_chemical_formula_sum 'Er4 Zn2 Ag1'
_space_group_name_H-M_alt 'P 1'
_space_group_IT_number 1
_space_group_name_Hall 'P 1'
_cell_length_a 9.420
_cell_length_b 9.420
_cell_length_c 9.420
_cell_angle_alpha 29.86
_cell_angle_beta 29.86
_cell_angle_gamma 29.86
loop_
_atom_site_label
_atom_site_fract_x
_atom_site_fract_y
_atom_site_fract_z
Er1 0.120 0.120 0.120
Er2 0.297 0.297 0.297
Er3 0.703 0.703 0.703
Er4 0.880 0.880 0.880
Zn1 0.404 0.404 0.404
Zn2 0.596 0.596 0.596
Ag1 0.500 0.500 0.500
```


Diffraction record for Sm2Zn3Cd3. The powder diffraction line list is simulated, not measured: it uses a structure optimized by DFT (GGA-PBE) and a wavelength of 1.5418 Å.
Neutral-atom scattering factors, no anomalous dispersion.

Principal peaks in the range 10 to 90 degrees two-theta, by intensity:
2θ (°)  I_rel
36.35  1000
65.40  333
52.35  169
88.45  144
77.19  101
25.48  67
59.10  25
22.02  21
44.92  19
33.28  14

Crystal structure
```
data_Sm2Zn3Cd3
_chemical_formula_sum 'Sm2 Zn3 Cd3'
_space_group_name_H-M_alt 'P 1'
_space_group_IT_number 1
_space_group_name_Hall 'P 1'
_cell_length_a 8.568
_cell_length_b 8.568
_cell_length_c 8.568
_cell_angle_alpha 33.52
_cell_angle_beta 33.52
_cell_angle_gamma 33.52
loop_
_atom_site_label
_atom_site_fract_x
_atom_site_fract_y
_atom_site_fract_z
Sm1 0.000 0.000 0.000
Sm2 0.491 0.491 0.491
Zn1 0.123 0.123 0.123
Zn2 0.369 0.369 0.369
Zn3 0.619 0.619 0.619
Cd1 0.249 0.249 0.249
Cd2 0.743 0.743 0.743
Cd3 0.872 0.872 0.872
```


Diffraction record for Rb2TcSbF6. The powder diffraction line list is simulated, not measured: it uses a structure optimized by DFT (GGA-PBE) and a wavelength of 1.5418 Å.
Neutral-atom scattering factors, no anomalous dispersion.

Principal peaks in the range 10 to 90 degrees two-theta, by intensity:
2θ (°)  I_rel
25.94  1000
29.12  342
49.72  330
41.64  260
69.80  237
31.82  233
53.35  200
53.23  177
43.67  170
60.36  80

Crystal structure
```
data_Rb2TcSbF6
_chemical_formula_sum 'Rb2 Tc1 Sb1 F6'
_space_group_name_H-M_alt 'P 1'
_space_group_IT_number 1
_space_group_name_Hall 'P 1'
_cell_length_a 7.102
_cell_length_b 7.102
_cell_length_c 7.102
_cell_angle_alpha 128.83
_cell_angle_beta 128.83
_cell_angle_gamma 75.28
loop_
_atom_site_label
_atom_site_fract_x
_atom_site_fract_y
_atom_site_fract_z
Rb1 0.250 0.750 0.500
Rb2 0.750 0.250 0.500
Tc1 0.000 0.000 0.000
Sb1 0.500 0.500 0.000
F1 0.178 0.178 0.000
F2 0.239 0.239 0.478
F3 0.239 0.761 0.000
F4 0.761 0.239 0.000
F5 0.761 0.761 0.522
F6 0.822 0.822 0.000
```


Diffraction record for Sm2HoH8. The powder diffraction line list is simulated, not measured: it uses a structure optimized by DFT (GGA-PBE) and a wavelength of 1.5418 Å.
Neutral-atom scattering factors, no anomalous dispersion.

Principal peaks in the range 10 to 90 degrees two-theta, by intensity:
2θ (°)  I_rel
29.50  1000
34.00  340
58.09  299
49.27  255
34.57  163
58.85  144
48.84  131
61.21  127
79.90  119
81.97  56

Crystal structure
```
data_Sm2HoH8
_chemical_formula_sum 'Sm2 Ho1 H8'
_space_group_name_H-M_alt 'P 1'
_space_group_IT_number 1
_space_group_name_Hall 'P 1'
_cell_length_a 6.438
_cell_length_b 6.438
_cell_length_c 6.438
_cell_angle_alpha 146.30
_cell_angle_beta 132.47
_cell_angle_gamma 59.53
loop_
_atom_site_label
_atom_site_fract_x
_atom_site_fract_y
_atom_site_fract_z
Sm1 0.168 0.168 0.000
Sm2 0.832 0.832 0.000
Ho1 0.500 0.500 0.000
H1 0.088 0.344 0.744
H2 0.243 0.000 0.243
H3 0.337 0.837 0.500
H4 0.401 0.656 0.744
H5 0.599 0.344 0.256
H6 0.663 0.163 0.500
H7 0.757 0.000 0.757
H8 0.912 0.656 0.256
```